This entry pairs a crystal structure of ZrTiO4 with its computed powder X-ray diffraction pattern. Radiation: Cu Kα, 1.54184 Å. Structure: DFT lattice parameters and positions (PBE).

Largest 10 diffraction maxima, sorted by position, 5 to 70 degrees two-theta:
| 2theta | I_rel | hkl |
| --- | --- | --- |
| 24.16 | 382 | 1 -1 0 |
| 29.60 | 1000 | -1 1 2 |
| 30.19 | 475 | 1 -1 2 |
| 30.34 | 478 | 1 1 2 |
| 31.59 | 210 | 0 2 0 |
| 35.24 | 189 | 0 0 4 |
| 49.48 | 189 | 2 2 0 |
| 51.23 | 189 | 2 0 -4 |
| 52.43 | 155 | 2 2 -2 |
| 52.91 | 163 | 2 0 4 |

a b c (Å): 4.853 5.664 10.191
angles (deg): 90.33 91.73 90.09
Atoms (fractional coordinates):
Zr1 0.000 0.000 0.000
Zr2 0.006 0.005 0.497
Zr3 0.493 0.493 0.006
Zr4 0.994 0.606 0.741
Ti1 0.001 0.614 0.254
Ti2 0.502 0.484 0.493
Ti3 0.503 0.129 0.747
Ti4 0.505 0.115 0.250
O1 0.212 0.705 0.912
O2 0.234 0.683 0.413
O3 0.236 0.922 0.668
O4 0.246 0.408 0.168
O5 0.251 0.912 0.169
O6 0.271 0.205 0.898
O7 0.287 0.413 0.647
O8 0.309 0.195 0.407
O9 0.703 0.191 0.095
O10 0.726 0.400 0.842
O11 0.730 0.210 0.595
O12 0.746 0.421 0.338
O13 0.747 0.914 0.829
O14 0.762 0.698 0.572
O15 0.777 0.919 0.325
O16 0.798 0.693 0.093

This entry pairs a crystal structure of NaNbO3 with its computed powder X-ray diffraction pattern. Radiation: Cu Kα, 1.54184 Å. Structure: DFT lattice parameters and positions (PBE).

Largest 10 diffraction maxima, sorted by position, 5 to 70 degrees two-theta:
| 2theta | I_rel | hkl |
| --- | --- | --- |
| 22.32 | 436 | 0 0 4 |
| 22.43 | 861 | 1 1 0 |
| 31.70 | 253 | 2 0 0 |
| 31.85 | 1000 | 1 1 4 |
| 32.16 | 251 | 0 2 0 |
| 45.54 | 200 | 0 0 8 |
| 45.79 | 382 | 2 2 0 |
| 51.31 | 256 | 3 1 0 |
| 56.56 | 302 | 2 0 8 |
| 57.14 | 235 | 1 3 4 |

a b c (Å): 5.645 5.567 15.934
angles (deg): 90.00 90.00 90.00
Atoms (fractional coordinates):
Na1 0.218 0.240 0.000
Na2 0.224 0.245 0.748
Na3 0.276 0.245 0.248
Na4 0.282 0.240 0.500
Na5 0.718 0.760 0.000
Na6 0.724 0.755 0.748
Na7 0.776 0.755 0.248
Na8 0.782 0.760 0.500
Nb1 0.229 0.748 0.874
Nb2 0.242 0.742 0.124
Nb3 0.258 0.742 0.624
Nb4 0.271 0.748 0.374
Nb5 0.729 0.252 0.874
Nb6 0.742 0.258 0.124
Nb7 0.758 0.258 0.624
Nb8 0.771 0.252 0.374
O1 0.015 0.031 0.615
O2 0.026 0.037 0.400
O3 0.046 0.466 0.149
O4 0.049 0.458 0.866
O5 0.225 0.681 0.507
O6 0.248 0.816 0.757
O7 0.252 0.816 0.257
O8 0.275 0.681 0.007
O9 0.451 0.458 0.366
O10 0.454 0.466 0.649
O11 0.474 0.037 0.900
O12 0.485 0.031 0.115
O13 0.515 0.969 0.615
O14 0.526 0.963 0.400
O15 0.546 0.534 0.149
O16 0.549 0.542 0.866
O17 0.725 0.319 0.507
O18 0.748 0.184 0.757
O19 0.752 0.184 0.257
O20 0.775 0.319 0.007
O21 0.951 0.542 0.366
O22 0.954 0.534 0.649
O23 0.974 0.963 0.900
O24 0.985 0.969 0.115